Computed X-ray diffraction stick pattern of Mn3CuO6 for copper Kα, from DFT lattice parameters and positions (PBE+U).

Most intense lines, 2θ from 10° to 80°, most intense first:
32.97°, rel. 100.0
36.62°, rel. 82.1
26.98°, rel. 58.6
48.89°, rel. 58.5
29.95°, rel. 51.9
56.42°, rel. 45.0
47.55°, rel. 43.9
34.18°, rel. 40.4

Cell: 5.9785 5.9785 5.9785 Å, 92.39 92.39 92.39°
Positions (direct):
Mn (0.0712, 0.7581, 0.5625)
Mn (0.2419, 0.4375, 0.9288)
Mn (0.4375, 0.9288, 0.2419)
Mn (0.5625, 0.0712, 0.7581)
Mn (0.7581, 0.5625, 0.0712)
Mn (0.9288, 0.2419, 0.4375)
Cu (0.0000, 0.0000, 0.0000)
Cu (0.5000, 0.5000, 0.5000)
O (0.0405, 0.6837, 0.8836)
O (0.1164, 0.9595, 0.3163)
O (0.1874, 0.4056, 0.5924)
O (0.3163, 0.1164, 0.9595)
O (0.4056, 0.5924, 0.1874)
O (0.4076, 0.8126, 0.5944)
O (0.5924, 0.1874, 0.4056)
O (0.5944, 0.4076, 0.8126)
O (0.6837, 0.8836, 0.0405)
O (0.8126, 0.5944, 0.4076)
O (0.8836, 0.0405, 0.6837)
O (0.9595, 0.3163, 0.1164)